1.
Diffraction record for K2TaOF5. The powder X-ray diffraction pattern is simulated, not measured: it uses a structure optimized by DFT (GGA-PBE) and Cu Kα, 1.54184 Å.
Neutral-atom scattering factors, no anomalous dispersion.

Principal peaks in the range 2θ = 5–70°, low angle first:
Position (°2θ)  I/Imax  (hkl)
17.74  100  1 0 1
18.41  12  0 0 2
21.50  14  1 1 0
28.45  44  1 1 2
30.58  16  2 0 0
31.78  16  1 0 3
35.58  30  2 1 1
37.32  11  0 0 4
43.80  17  2 2 0
53.06  15  3 1 2

Structure:
Cell lengths 5.846, 5.846, 9.639 Å; angles 90.00, 90.00, 90.00 degrees
Space group I4mm (No. 107)
One atom of each set of equivalent atoms:
1 K 0.000 0.500 0.000 x4
2 Ta 0.000 0.000 0.259 x2
3 O 0.000 0.000 0.073 x2
4 F 0.000 0.000 0.480 x2
5 F 0.235 0.235 0.286 x8

***

2.
Diffraction record for KTeOF3. The powder X-ray diffraction pattern is simulated, not measured: it uses a structure optimized by DFT (GGA-PBE) and Cu Kα, 1.54184 Å.
Neutral-atom scattering factors, no anomalous dispersion.

Principal peaks in the range 2θ = 5–70°, low angle first:
Position (°2θ)  I/Imax  (hkl)
11.17  29  0 0 1
18.23  27  1 0 -1
21.36  30  0 1 1
23.31  100  1 1 0
26.67  32  1 0 -2
26.97  24  1 0 2
29.01  26  0 1 2
41.46  27  2 1 -2
41.87  24  2 1 2
46.20  14  1 2 2

Structure:
Cell lengths 6.107, 4.887, 7.925 Å; angles 90.00, 90.70, 90.00 degrees
Space group P2_1 (No. 4)
One atom of each set of equivalent atoms:
1 K 0.241 0.000 0.134 x2
2 Te 0.241 0.014 0.652 x2
3 O 0.044 0.909 0.809 x2
4 F 0.091 0.834 0.444 x2
5 F 0.414 0.672 0.644 x2
6 F 0.466 0.100 0.844 x2

***

3.
Diffraction record for KTeOF3. The powder X-ray diffraction pattern is simulated, not measured: it uses a structure optimized by DFT (GGA-PBE) and Cu Kα, 1.54184 Å.
Neutral-atom scattering factors, no anomalous dispersion.

Principal peaks in the range 2θ = 5–70°, low angle first:
Position (°2θ)  I/Imax  (hkl)
16.40  100  1 1 1
22.09  35  0 0 2
22.22  27  2 1 1
26.84  83  2 2 1
27.35  58  1 3 0
28.13  27  2 0 2
29.54  35  1 3 1
38.83  20  1 2 3
43.49  33  3 3 2
46.29  32  5 1 1

Structure:
Cell lengths 10.313, 10.313, 8.050 Å; angles 90.00, 90.00, 90.00 degrees
Space group P4_2/n (No. 86, origin choice 2)
One atom of each set of equivalent atoms:
1 K 0.000 0.000 0.000 x4
2 K 0.250 0.250 0.250 x2
3 K 0.250 0.250 0.750 x2
4 Te 0.094 0.616 0.042 x8
5 O 0.002 0.028 0.652 x8
6 F 0.015 0.236 0.399 x8
7 F 0.064 0.256 0.982 x8
8 F 0.112 0.684 0.279 x8

***

4.
Diffraction record for KTe3O6F. The powder X-ray diffraction pattern is simulated, not measured: it uses a structure optimized by DFT (GGA-PBE) and Cu Kα, 1.54184 Å.
Neutral-atom scattering factors, no anomalous dispersion.

Principal peaks in the range 2θ = 5–70°, low angle first:
Position (°2θ)  I/Imax  (hkl)
18.51  100  0 0 3
26.27  85  1 1 3
27.04  15  1 0 4
29.04  74  3 -1 1
31.02  55  1 2 2
32.25  23  3 0 0
42.17  40  2 -1 6
46.77  14  4 -3 4
49.36  27  2 3 2
50.69  32  4 0 4

Structure:
Cell lengths 9.6152, 9.6152, 14.3630 Å; angles 90.00, 90.00, 120.00 degrees
Space group R-3 (No. 148, hexagonal axes)
One atom of each set of equivalent atoms:
1 K 0.0000 0.0000 0.1551 x6
2 Te 0.0170 0.7517 0.6304 x18
3 O 0.0348 0.5596 0.6219 x18
4 O 0.0364 0.4666 0.9197 x18
5 F 0.0000 0.0000 0.3496 x6

***

Question: Number 3 is which compound?
Answer: KTeOF3